For NaU2CdO8, DFT lattice parameters and positions (PBE) gives the calculated powder diffractogram in this record (Cu Kα).
Peak positions follow from Bragg's law for the DFT cell and can differ from measured ones.

Cell and atoms:
```
12
Lattice="-2.692 2.692 5.177 2.692 -2.692 5.177 2.692 2.692 -5.177" Properties=species:S:1:pos:R:3 pbc="T T T"
Na 0.000 0.000 0.000
U 0.000 0.000 5.177
U 0.000 2.692 2.588
Cd 2.692 0.000 2.588
O 1.494 1.351 -1.299
O 3.890 1.351 -1.299
O 1.351 1.494 1.299
O 1.341 -1.198 6.476
O -1.198 1.341 3.877
O 1.198 1.341 3.877
O 1.351 3.890 1.299
O 1.341 1.198 6.476
```

Largest 8 diffraction maxima, by intensity, 10° ≤ 2θ ≤ 80°:
Position (°2θ)	I/Imax
29.1	1000
18.6	479
48.8	347
56.9	311
33.3	215
58.8	191
47.8	183
79.0	142